# 1
Simulated X-ray powder pattern
Compound: Y5Au2
Radiation: Cu Kα (weighted mean of Kα1 and Kα2)
Structure: a structure optimized by DFT (GGA-PBE)

Cell and atoms:
Cell lengths 16.681, 6.828, 7.022 Å; angles 90.00, 95.74, 90.00 degrees
Space group C2/c (No. 15)
Inequivalent atoms, fractional coordinates:
Y 0.000 0.050 0.250
Y 0.094 0.378 0.947
Y 0.223 0.058 0.298
Au 0.111 0.215 0.558

Most intense lines, 2θ = 5–70°, in order of rising 2θ:
| 2θ (°) | I_rel | h k l |
| --- | --- | --- |
| 19.30 | 100 | 1 1 1 |
| 23.44 | 50 | 3 1 -1 |
| 31.54 | 57 | 2 2 1 |
| 31.78 | 62 | 4 0 -2 |
| 33.69 | 46 | 5 1 1 |
| 34.01 | 82 | 4 2 0 |
| 35.20 | 62 | 4 0 2 |
| 36.81 | 50 | 0 2 2 |



# 2
Simulated X-ray powder pattern
Compound: Li6Ni2Ag
Radiation: Cu Kα (weighted mean of Kα1 and Kα2)
Structure: a structure optimized by DFT (GGA-PBE)

Cell and atoms:
Cell lengths 4.468, 8.941, 7.704 Å; angles 90.00, 90.00, 90.00 degrees
Space group Cmmm (No. 65)
Inequivalent atoms, fractional coordinates:
Li 0.000 0.000 0.195
Li 0.000 0.350 0.320
Ni 0.000 0.127 0.500
Ag 0.000 0.500 0.000

Most intense lines, 2θ = 5–70°, in order of rising 2θ:
| 2θ (°) | I_rel | h k l |
| --- | --- | --- |
| 19.86 | 15 | 0 2 0 |
| 23.06 | 64 | 0 0 2 |
| 25.10 | 100 | 1 1 1 |
| 36.23 | 16 | 1 3 0 |
| 41.81 | 33 | 1 1 3 |
| 42.09 | 21 | 0 4 1 |
| 43.40 | 31 | 1 3 2 |
| 47.00 | 18 | 2 0 2 |



# 3
Simulated X-ray powder pattern
Compound: LiSiPb
Radiation: Cu Kα (weighted mean of Kα1 and Kα2)
Structure: a structure optimized by DFT (GGA-PBE)

Cell and atoms:
Cell lengths 3.982, 18.962, 3.636 Å; angles 90.00, 90.00, 90.00 degrees
Space group Cmcm (No. 63)
Inequivalent atoms, fractional coordinates:
Li 0.000 0.068 0.250
Si 0.000 0.463 0.250
Pb 0.000 0.313 0.250

Most intense lines, 2θ = 5–70°, in order of rising 2θ:
| 2θ (°) | I_rel | h k l |
| --- | --- | --- |
| 9.33 | 100 | 0 2 0 |
| 22.82 | 26 | 1 1 0 |
| 26.25 | 41 | 0 2 1 |
| 26.45 | 47 | 1 3 0 |
| 31.00 | 39 | 0 4 1 |
| 32.61 | 40 | 1 5 0 |
| 33.71 | 71 | 1 1 1 |
| 47.69 | 34 | 1 7 1 |



# 4
Simulated X-ray powder pattern
Compound: Bi8Te7
Radiation: Cu Kα (weighted mean of Kα1 and Kα2)
Structure: a structure optimized by DFT (GGA-PBE)

Cell and atoms:
Cell lengths 4.4949, 4.4949, 92.6067 Å; angles 90.00, 90.00, 120.00 degrees
Space group P-3m1 (No. 164)
Inequivalent atoms, fractional coordinates:
Bi 0.0000 0.0000 0.0682
Bi 0.0000 0.0000 0.1328
Bi 0.0000 0.0000 0.3358
Bi 0.0000 0.0000 0.4006
Bi 0.3333 0.6667 0.0218
Bi 0.3333 0.6667 0.0863
Bi 0.3333 0.6667 0.2889
Bi 0.3333 0.6667 0.3538
Bi 0.3333 0.6667 0.4910
Bi 0.3333 0.6667 0.5559
Bi 0.3333 0.6667 0.7548
Bi 0.3333 0.6667 0.8236
Te 0.0000 0.0000 0.0000
Te 0.0000 0.0000 0.1946
Te 0.0000 0.0000 0.2673
Te 0.0000 0.0000 0.4626
Te 0.3333 0.6667 0.1544
Te 0.3333 0.6667 0.2270
Te 0.3333 0.6667 0.4224
Te 0.3333 0.6667 0.6179
Te 0.3333 0.6667 0.6925
Te 0.3333 0.6667 0.8858
Te 0.3333 0.6667 0.9598

Most intense lines, 2θ = 5–70°, in order of rising 2θ:
| 2θ (°) | I_rel | h k l |
| --- | --- | --- |
| 18.20 | 8 | 0 0 19 |
| 27.08 | 100 | 0 1 15 |
| 37.17 | 38 | 1 0 30 |
| 40.12 | 38 | 1 1 0 |
| 49.08 | 20 | 2 0 15 |
| 55.84 | 12 | 0 2 30 |
| 61.05 | 14 | 1 1 45 |
| 65.18 | 17 | 1 2 15 |